Simulated powder XRD pattern of MgFe12O12F12 for a wavelength of 1.5418 Å, from the GGA+U geometry in the Materials Project.
Intensities are scaled so that the largest is 100.

Peak list (10 most intense, 2θ from 10° to 90°, by intensity)
- d 3.426, I 100
- d 2.598, I 58
- d 1.774, I 32
- d 1.771, I 22
- d 2.288, I 14
- d 1.538, I 12
- d 1.711, I 9
- d 1.433, I 9
- d 1.715, I 8
- d 1.768, I 7

Atomic structure:
Lattice parameters (Å, degrees): 3.0772 9.6667 14.5719 90.16 90.00 90.07
Space group P1 (No. 1)
Unique sites:
Mg: 0.0000 0.0000 0.0000
Fe: 0.0101 0.4904 0.1470
Fe: 0.0139 0.4645 0.8200
Fe: 0.0181 0.9656 0.1810
Fe: 0.0209 0.4631 0.4930
Fe: 0.0218 0.9822 0.4819
Fe: 0.0247 0.9871 0.8288
Fe: 0.5056 0.2714 0.9891
Fe: 0.5099 0.7242 0.9934
Fe: 0.5195 0.2543 0.6564
Fe: 0.5203 0.7454 0.3334
Fe: 0.5208 0.2366 0.3454
Fe: 0.5218 0.7366 0.6590
O: 0.0071 0.3487 0.9292
O: 0.0101 0.6443 0.0628
O: 0.0111 0.8254 0.9320
O: 0.0198 0.3313 0.5932
O: 0.0202 0.8226 0.2680
O: 0.0206 0.1401 0.3978
O: 0.5037 0.0839 0.9235
O: 0.5100 0.3937 0.0999
O: 0.5149 0.3826 0.7592
O: 0.5148 0.9207 0.0969
O: 0.5208 0.3960 0.4273
O: 0.5219 0.8838 0.4309
F: 0.0104 0.1613 0.0782
F: 0.0185 0.3259 0.2673
F: 0.0202 0.1395 0.7220
F: 0.0199 0.6294 0.7277
F: 0.0205 0.6369 0.3983
F: 0.0222 0.8431 0.5905
F: 0.5120 0.5816 0.8845
F: 0.5184 0.0803 0.2392
F: 0.5176 0.5787 0.2361
F: 0.5210 0.0801 0.5612
F: 0.5214 0.5834 0.5566
F: 0.5265 0.8894 0.7553

Simulated powder XRD pattern of MgFe8O14F2 for a wavelength of 1.5418 Å, from the GGA+U geometry in the Materials Project.
Intensities are scaled so that the largest is 100.

Peak list (10 most intense, 2θ from 10° to 90°, by intensity)
- d 3.409, I 100
- d 1.748, I 20
- d 2.518, I 19
- d 1.729, I 18
- d 2.526, I 17
- d 3.290, I 16
- d 1.735, I 16
- d 1.764, I 16
- d 1.707, I 16
- d 2.555, I 15

Atomic structure:
Lattice parameters (Å, degrees): 4.7933 4.8508 11.8661 91.21 90.20 90.14
Space group P1 (No. 1)
Unique sites:
Mg: 0.0000 0.0000 0.0000
Fe: 0.4514 0.9560 0.5115
Fe: 0.4766 0.9957 0.7605
Fe: 0.4811 0.9678 0.2657
Fe: 0.5202 0.6022 0.0028
Fe: 0.9513 0.4819 0.1548
Fe: 0.9788 0.4745 0.3867
Fe: 0.9829 0.4987 0.6347
Fe: 0.9916 0.4756 0.8675
O: 0.1427 0.6370 0.0186
O: 0.1612 0.6591 0.5076
O: 0.1708 0.6554 0.2657
O: 0.1903 0.6832 0.7592
O: 0.2603 0.1880 0.8850
O: 0.2812 0.1522 0.3890
O: 0.2838 0.1690 0.6297
O: 0.6608 0.7846 0.3912
O: 0.6653 0.7979 0.6308
O: 0.6744 0.7866 0.1352
O: 0.7109 0.7929 0.8869
O: 0.7603 0.3074 0.0213
O: 0.7698 0.2849 0.2662
O: 0.7792 0.2969 0.7549
F: 0.2312 0.1469 0.1367
F: 0.7798 0.2878 0.5082

Simulated powder XRD pattern of MgFe6O11F for a wavelength of 1.5418 Å, from the GGA+U geometry in the Materials Project.
Intensities are scaled so that the largest is 100.

Peak list (10 most intense, 2θ from 10° to 90°, by intensity)
- d 3.447, I 100
- d 3.322, I 91
- d 2.533, I 32
- d 2.524, I 31
- d 1.724, I 29
- d 1.738, I 29
- d 1.767, I 28
- d 2.504, I 25
- d 2.457, I 25
- d 2.480, I 23

Atomic structure:
Lattice parameters (Å, degrees): 4.9180 5.5464 7.4808 84.13 88.52 88.32
Space group P1 (No. 1)
Unique sites:
Mg: 0.0000 0.0000 0.0000
Fe: 0.4830 0.4942 0.5067
Fe: 0.4993 0.1472 0.8300
Fe: 0.5108 0.8679 0.2028
Fe: 0.9725 0.3694 0.2051
Fe: 0.9848 0.6070 0.8036
Fe: 0.9926 0.9958 0.5118
O: 0.1552 0.9456 0.7480
O: 0.1696 0.2944 0.4224
O: 0.2819 0.8109 0.4148
O: 0.3238 0.4447 0.7492
O: 0.3280 0.1450 0.0794
O: 0.6558 0.5507 0.2696
O: 0.6580 0.8532 0.9468
O: 0.7014 0.1854 0.6050
O: 0.8040 0.7029 0.5897
O: 0.8337 0.0362 0.2734
O: 0.8376 0.3362 0.9508
F: 0.1522 0.6659 0.0755

Simulated powder XRD pattern of MgFe4O4F4 for a wavelength of 1.5418 Å, from the GGA+U geometry in the Materials Project.
Intensities are scaled so that the largest is 100.

Peak list (10 most intense, 2θ from 10° to 90°, by intensity)
- d 2.736, I 100
- d 8.493, I 44
- d 3.119, I 31
- d 3.499, I 31
- d 1.549, I 25
- d 5.010, I 22
- d 1.541, I 21
- d 2.585, I 20
- d 2.254, I 19
- d 1.715, I 18

Atomic structure:
Lattice parameters (Å, degrees): 6.2382 3.2596 8.4927 90.00 90.41 90.00
Space group Pm (No. 6)
Unique sites:
Mg: 0.0000 0.0000 0.0000
Fe: 0.2254 0.5000 0.7312
Fe: 0.2609 0.0000 0.3782
Fe: 0.6902 0.5000 0.2677
Fe: 0.7623 0.0000 0.6262
O: 0.9998 0.0000 0.7610
O: 0.2339 0.5000 0.4922
O: 0.5016 0.0000 0.2579
O: 0.7490 0.5000 0.5099
F: 0.0013 0.0000 0.2406
F: 0.2048 0.5000 0.9778
F: 0.4830 0.0000 0.7333
F: 0.8014 0.5000 0.0355

Simulated powder XRD pattern of MgFe6O6F6 for a wavelength of 1.5418 Å, from the GGA+U geometry in the Materials Project.
Intensities are scaled so that the largest is 100.

Peak list (10 most intense, 2θ from 10° to 90°, by intensity)
- d 3.365, I 100
- d 3.585, I 90
- d 2.592, I 70
- d 2.622, I 61
- d 1.772, I 39
- d 1.833, I 35
- d 1.743, I 27
- d 1.538, I 24
- d 1.682, I 22
- d 1.421, I 22

Atomic structure:
Lattice parameters (Å, degrees): 3.0770 5.0230 14.4489 93.62 90.03 90.06
Space group P1 (No. 1)
Unique sites:
Mg: 0.0000 0.0000 0.0000
Fe: 0.9998 0.4984 0.9949
Fe: 0.0012 0.5102 0.3417
Fe: 0.0025 0.5685 0.6605
Fe: 0.5002 0.9145 0.1844
Fe: 0.5014 0.0379 0.8133
Fe: 0.5028 0.9694 0.5014
O: 0.0001 0.7451 0.2339
O: 0.0028 0.8270 0.5601
O: 0.4992 0.7581 0.0543
O: 0.5006 0.2350 0.9496
O: 0.5016 0.6808 0.3987
O: 0.5028 0.7270 0.7200
F: 0.0002 0.1731 0.1264
F: 0.0007 0.7785 0.8855
F: 0.0020 0.1844 0.4310
F: 0.0021 0.2587 0.7527
F: 0.5009 0.2615 0.2771
F: 0.5030 0.3282 0.5891

Simulated powder XRD pattern of MgFe8O14F2 for a wavelength of 1.5418 Å, from the GGA+U geometry in the Materials Project.
Intensities are scaled so that the largest is 100.

Peak list (10 most intense, 2θ from 10° to 90°, by intensity)
- d 3.187, I 100
- d 3.932, I 76
- d 2.600, I 43
- d 3.781, I 39
- d 2.539, I 33
- d 1.703, I 23
- d 1.685, I 20
- d 3.227, I 18
- d 1.594, I 15
- d 2.186, I 15

Atomic structure:
Lattice parameters (Å, degrees): 5.0641 5.0642 12.0309 88.04 88.14 78.01
Space group P1 (No. 1)
Unique sites:
Mg: 0.0000 0.0000 0.0000
Fe: 0.1592 0.1755 0.6283
Fe: 0.2379 0.2402 0.1474
Fe: 0.2885 0.2844 0.8651
Fe: 0.3520 0.3745 0.3806
Fe: 0.6534 0.6540 0.9798
Fe: 0.7329 0.7367 0.7455
Fe: 0.7913 0.7439 0.5076
Fe: 0.8094 0.8185 0.2749
O: 0.0131 0.4025 0.0013
O: 0.0272 0.4139 0.7513
O: 0.0855 0.4903 0.2619
O: 0.0948 0.4425 0.5069
O: 0.4002 0.0134 0.0020
O: 0.4124 0.0336 0.7462
O: 0.4810 0.0944 0.2667
O: 0.5195 0.5260 0.8544
O: 0.6101 0.5941 0.6205
O: 0.6105 0.6078 0.3846
O: 0.8526 0.8610 0.8768
O: 0.9264 0.9217 0.6283
O: 0.9533 0.9303 0.4041
O: 0.9784 0.9880 0.1594
F: 0.4638 0.0735 0.5063
F: 0.4996 0.5009 0.1091

Simulated powder XRD pattern of MgFe10O9F11 for a wavelength of 1.5418 Å, from the GGA+U geometry in the Materials Project.
Intensities are scaled so that the largest is 100.

Peak list (10 most intense, 2θ from 10° to 90°, by intensity)
- d 3.231, I 100
- d 2.653, I 95
- d 3.587, I 83
- d 1.837, I 25
- d 1.830, I 24
- d 1.728, I 23
- d 1.734, I 23
- d 1.794, I 17
- d 1.616, I 17
- d 1.435, I 16

Atomic structure:
Lattice parameters (Å, degrees): 4.8087 15.9104 4.8476 90.00 95.98 90.00
Space group Pm (No. 6)
Unique sites:
Mg: 0.0000 0.0000 0.0000
Fe: 0.2150 0.5000 0.7817
Fe: 0.2533 0.3002 0.7444
Fe: 0.2740 0.1145 0.7448
Fe: 0.6453 0.0000 0.3682
Fe: 0.7610 0.2151 0.2490
Fe: 0.7900 0.4145 0.2786
O: 0.0321 0.0000 0.5790
O: 0.0556 0.2078 0.5483
O: 0.0759 0.3998 0.5863
O: 0.4379 0.0000 0.9794
O: 0.4651 0.2109 0.9538
O: 0.9667 0.5000 0.0676
F: 0.4642 0.4023 0.9777
F: 0.5518 0.5000 0.4866
F: 0.5562 0.1187 0.4511
F: 0.5680 0.3067 0.4520
F: 0.9576 0.1171 0.0559
F: 0.9617 0.3075 0.0652

Simulated powder XRD pattern of MgFe12O12F12 for a wavelength of 1.5418 Å, from the GGA+U geometry in the Materials Project.
Intensities are scaled so that the largest is 100.

Peak list (10 most intense, 2θ from 10° to 90°, by intensity)
- d 3.376, I 100
- d 3.493, I 97
- d 2.609, I 90
- d 1.758, I 35
- d 2.622, I 29
- d 1.549, I 23
- d 1.794, I 23
- d 1.688, I 15
- d 1.427, I 14
- d 1.787, I 13

Atomic structure:
Lattice parameters (Å, degrees): 3.0986 9.6541 14.6680 88.06 89.76 89.91
Space group P1 (No. 1)
Unique sites:
Mg: 0.0000 0.0000 0.0000
Fe: 0.4680 0.4763 0.7891
Fe: 0.4793 0.9388 0.8085
Fe: 0.4800 0.9837 0.5140
Fe: 0.4807 0.4591 0.4956
Fe: 0.4868 0.4940 0.1917
Fe: 0.4951 0.9696 0.1795
Fe: 0.9444 0.7262 0.9933
Fe: 0.9763 0.2339 0.6510
Fe: 0.9763 0.7331 0.6526
Fe: 0.9860 0.2527 0.3358
Fe: 0.9860 0.7349 0.3270
Fe: 0.9893 0.2936 0.0046
O: 0.4739 0.3139 0.7223
O: 0.4750 0.8194 0.7133
O: 0.4780 0.1316 0.5957
O: 0.4841 0.3317 0.3929
O: 0.4869 0.6441 0.2739
O: 0.4987 0.8904 0.0583
O: 0.9692 0.5775 0.7469
O: 0.9780 0.8896 0.8891
O: 0.9794 0.3875 0.5567
O: 0.9794 0.8763 0.5533
O: 0.9866 0.3876 0.2306
O: 0.9933 0.8933 0.2359
F: 0.4423 0.6237 0.9316
F: 0.4773 0.6314 0.5845
F: 0.4859 0.3820 0.0698
F: 0.4855 0.8320 0.3946
F: 0.4913 0.1382 0.2672
F: 0.4914 0.1442 0.9570
F: 0.9663 0.3903 0.8842
F: 0.9734 0.6027 0.1120
F: 0.9771 0.0672 0.7628
F: 0.9826 0.5853 0.4314
F: 0.9850 0.0790 0.4262
F: 0.9969 0.1197 0.1078

Simulated powder XRD pattern of MgFe10O9F11 for a wavelength of 1.5418 Å, from the GGA+U geometry in the Materials Project.
Intensities are scaled so that the largest is 100.

Peak list (10 most intense, 2θ from 10° to 90°, by intensity)
- d 3.651, I 100
- d 3.275, I 81
- d 2.605, I 65
- d 1.830, I 47
- d 2.614, I 42
- d 2.358, I 28
- d 1.728, I 28
- d 1.446, I 24
- d 1.840, I 22
- d 1.545, I 18

Atomic structure:
Lattice parameters (Å, degrees): 4.8733 15.4455 4.9360 90.00 96.21 90.00
Space group Pm (No. 6)
Unique sites:
Mg: 0.0000 0.0000 0.0000
Fe: 0.0202 0.1108 0.5016
Fe: 0.0389 0.5000 0.5355
Fe: 0.0440 0.3018 0.5395
Fe: 0.5384 0.4030 0.0364
Fe: 0.5476 0.0000 0.2683
Fe: 0.5513 0.2112 0.0413
O: 0.1790 0.0000 0.3702
O: 0.3333 0.3028 0.8443
O: 0.3348 0.5000 0.8400
O: 0.7393 0.1082 0.1729
O: 0.7437 0.5000 0.2326
O: 0.7531 0.3061 0.2289
F: 0.2378 0.4024 0.3557
F: 0.2437 0.0997 0.8744
F: 0.2618 0.2113 0.3483
F: 0.7576 0.0000 0.6708
F: 0.8154 0.2119 0.7114
F: 0.8460 0.4023 0.7186